Record 1
Starting from a DFT-relaxed cell (GGA-PBE, Alexandria), the X-ray diffraction stick pattern of InSb2P2Pd7 was simulated for Cu Kα X-rays.
Kinematic intensities with the Lorentz-polarization factor, no thermal factor.

Top 10 peaks for 2θ = 5–70°, in order of rising 2θ:
- 5.95 deg, I = 47
- 11.92 deg, I = 45
- 30.09 deg, I = 34
- 32.88 deg, I = 53
- 34.55 deg, I = 59
- 37.19 deg, I = 100
- 40.62 deg, I = 34
- 44.73 deg, I = 61
- 46.34 deg, I = 82
- 64.77 deg, I = 30

Cell and atoms:
```
InSb2P2Pd7
1.0
2.770 -2.772 0.000
2.770 2.772 0.000
-2.758 0.000 14.847
In Sb P Pd
1 2 2 7
direct
0.000 0.000 0.000 In
0.212 0.212 0.425 Sb
0.788 0.788 0.575 Sb
0.385 0.385 0.767 P
0.615 0.615 0.233 P
0.072 0.572 0.146 Pd
0.305 0.305 0.609 Pd
0.428 0.928 0.854 Pd
0.500 0.500 0.000 Pd
0.572 0.072 0.146 Pd
0.695 0.695 0.391 Pd
0.928 0.428 0.854 Pd
```

---

Record 2
Starting from a DFT-relaxed cell (GGA-PBE, Alexandria), the X-ray diffraction stick pattern of Sr3In2P2Pd4 was simulated for Cu Kα X-rays.
Kinematic intensities with the Lorentz-polarization factor, no thermal factor.

Top 10 peaks for 2θ = 5–70°, in order of rising 2θ:
- 5.34 deg, I = 32
- 24.52 deg, I = 24
- 26.26 deg, I = 39
- 28.94 deg, I = 25
- 32.36 deg, I = 100
- 40.71 deg, I = 39
- 42.07 deg, I = 82
- 54.06 deg, I = 28
- 58.00 deg, I = 16
- 59.97 deg, I = 12

Cell and atoms:
```
Sr3In2P2Pd4
1.0
4.296 0.000 0.000
-2.148 3.720 0.000
0.000 0.000 16.557
Sr In P Pd
3 2 2 4
direct
0.000 0.000 0.000 Sr
0.000 0.000 0.254 Sr
0.000 0.000 0.746 Sr
0.333 0.667 0.561 In
0.667 0.333 0.439 In
0.333 0.667 0.133 P
0.667 0.333 0.867 P
0.333 0.667 0.387 Pd
0.333 0.667 0.871 Pd
0.667 0.333 0.129 Pd
0.667 0.333 0.613 Pd
```

---

Record 3
Starting from a DFT-relaxed cell (GGA-PBE, Alexandria), the X-ray diffraction stick pattern of InP2Rh was simulated for Cu Kα X-rays.
Kinematic intensities with the Lorentz-polarization factor, no thermal factor.

Top 10 peaks for 2θ = 5–70°, in order of rising 2θ:
- 27.54 deg, I = 100
- 31.26 deg, I = 19
- 33.14 deg, I = 7
- 44.80 deg, I = 18
- 46.20 deg, I = 34
- 53.40 deg, I = 30
- 55.85 deg, I = 13
- 56.85 deg, I = 7
- 65.22 deg, I = 5
- 69.56 deg, I = 3

Cell and atoms:
```
InP2Rh
1.0
5.722 0.000 0.000
0.000 5.722 0.000
0.000 0.000 10.812
In P Rh
4 8 4
direct
0.000 0.000 0.000 In
0.000 0.500 0.250 In
0.500 0.000 0.750 In
0.500 0.500 0.500 In
0.197 0.250 0.625 P
0.250 0.697 0.875 P
0.250 0.803 0.375 P
0.303 0.250 0.125 P
0.697 0.750 0.125 P
0.750 0.197 0.375 P
0.750 0.303 0.875 P
0.803 0.750 0.625 P
0.000 0.000 0.500 Rh
0.000 0.500 0.750 Rh
0.500 0.000 0.250 Rh
0.500 0.500 0.000 Rh
```

---

Record 4
Starting from a DFT-relaxed cell (GGA-PBE, Alexandria), the X-ray diffraction stick pattern of Sm2In2PRh4 was simulated for Cu Kα X-rays.
Kinematic intensities with the Lorentz-polarization factor, no thermal factor.

Top 10 peaks for 2θ = 5–70°, in order of rising 2θ:
- 33.19 deg, I = 11
- 34.63 deg, I = 100
- 40.14 deg, I = 43
- 40.33 deg, I = 13
- 44.02 deg, I = 11
- 53.02 deg, I = 4
- 58.07 deg, I = 14
- 58.21 deg, I = 17
- 69.41 deg, I = 26
- 69.67 deg, I = 4

Cell and atoms:
```
Sm2In2PRh4
1.0
-3.177 3.177 4.473
3.177 -3.177 4.473
3.177 3.177 -4.473
Sm In P Rh
2 2 1 4
direct
0.199 0.199 0.000 Sm
0.801 0.801 0.000 Sm
0.250 0.750 0.500 In
0.750 0.250 0.500 In
0.500 0.500 0.000 P
0.248 0.248 0.495 Rh
0.248 0.752 0.000 Rh
0.752 0.248 0.000 Rh
0.752 0.752 0.505 Rh
```

---

Record 5
Starting from a DFT-relaxed cell (GGA-PBE, Alexandria), the X-ray diffraction stick pattern of Tb2InP3Rh12 was simulated for Cu Kα X-rays.
Kinematic intensities with the Lorentz-polarization factor, no thermal factor.

Top 10 peaks for 2θ = 5–70°, in order of rising 2θ:
- 20.65 deg, I = 15
- 28.84 deg, I = 14
- 33.69 deg, I = 12
- 36.29 deg, I = 41
- 36.72 deg, I = 21
- 40.45 deg, I = 100
- 42.09 deg, I = 18
- 45.84 deg, I = 12
- 47.00 deg, I = 17
- 59.76 deg, I = 14

Cell and atoms:
```
Tb2InP3Rh12
1.0
4.460 2.575 4.301
-4.460 2.575 4.301
0.000 -5.150 4.301
Tb In P Rh
2 1 3 12
direct
0.126 0.126 0.126 Tb
0.874 0.874 0.874 Tb
0.500 0.500 0.500 In
0.000 0.500 0.500 P
0.500 0.000 0.500 P
0.500 0.500 0.000 P
0.130 0.130 0.595 Rh
0.130 0.595 0.130 Rh
0.165 0.675 0.675 Rh
0.325 0.325 0.835 Rh
0.325 0.835 0.325 Rh
0.405 0.870 0.870 Rh
0.595 0.130 0.130 Rh
0.675 0.165 0.675 Rh
0.675 0.675 0.165 Rh
0.835 0.325 0.325 Rh
0.870 0.405 0.870 Rh
0.870 0.870 0.405 Rh
```

---

Record 6
Starting from a DFT-relaxed cell (GGA-PBE, Alexandria), the X-ray diffraction stick pattern of In2P3S9 was simulated for Cu Kα X-rays.
Kinematic intensities with the Lorentz-polarization factor, no thermal factor.

Top 10 peaks for 2θ = 5–70°, in order of rising 2θ:
- 12.29 deg, I = 100
- 12.94 deg, I = 8
- 17.35 deg, I = 8
- 21.62 deg, I = 8
- 22.05 deg, I = 11
- 29.24 deg, I = 36
- 33.46 deg, I = 79
- 44.60 deg, I = 20
- 51.26 deg, I = 17
- 51.35 deg, I = 8

Cell and atoms:
```
In2P3S9
1.0
7.488 0.000 0.000
0.000 10.673 0.000
-5.082 0.000 17.820
In P S
8 12 36
direct
0.001 0.148 0.324 In
0.001 0.352 0.824 In
0.002 0.179 0.010 In
0.002 0.321 0.510 In
0.998 0.679 0.490 In
0.998 0.821 0.990 In
0.999 0.648 0.176 In
0.999 0.852 0.676 In
0.155 0.009 0.852 P
0.155 0.491 0.352 P
0.156 0.004 0.514 P
0.156 0.496 0.014 P
0.156 0.514 0.684 P
0.156 0.986 0.184 P
0.844 0.014 0.816 P
0.844 0.486 0.316 P
0.844 0.504 0.986 P
0.844 0.996 0.486 P
0.845 0.509 0.648 P
0.845 0.991 0.148 P
0.226 0.173 0.913 S
0.226 0.327 0.413 S
0.226 0.505 0.582 S
0.226 0.995 0.082 S
0.228 0.509 0.917 S
0.228 0.991 0.417 S
0.231 0.656 0.079 S
0.231 0.844 0.579 S
0.237 0.015 0.757 S
0.237 0.485 0.257 S
0.237 0.650 0.412 S
0.237 0.850 0.912 S
0.238 0.155 0.581 S
0.238 0.345 0.081 S
0.238 0.674 0.741 S
0.238 0.826 0.241 S
0.240 0.145 0.243 S
0.240 0.355 0.743 S
0.760 0.645 0.257 S
0.760 0.855 0.757 S
0.762 0.174 0.759 S
0.762 0.326 0.259 S
0.762 0.655 0.919 S
0.762 0.845 0.419 S
0.763 0.150 0.088 S
0.763 0.350 0.588 S
0.763 0.515 0.743 S
0.763 0.985 0.243 S
0.769 0.156 0.421 S
0.769 0.344 0.921 S
0.772 0.009 0.583 S
0.772 0.491 0.083 S
0.774 0.005 0.918 S
0.774 0.495 0.418 S
0.774 0.673 0.587 S
0.774 0.827 0.087 S
```

---

Record 7
Starting from a DFT-relaxed cell (GGA-PBE, Alexandria), the X-ray diffraction stick pattern of In4SbP was simulated for Cu Kα X-rays.
Kinematic intensities with the Lorentz-polarization factor, no thermal factor.

Top 10 peaks for 2θ = 5–70°, in order of rising 2θ:
- 17.79 deg, I = 27
- 20.57 deg, I = 6
- 29.25 deg, I = 15
- 34.44 deg, I = 100
- 36.02 deg, I = 56
- 41.84 deg, I = 12
- 45.79 deg, I = 8
- 51.86 deg, I = 6
- 55.26 deg, I = 33
- 60.65 deg, I = 30

Cell and atoms:
```
In4SbP
1.0
0.000 4.319 4.319
4.319 0.000 4.319
4.319 4.319 0.000
In Sb P
4 1 1
direct
0.125 0.125 0.125 In
0.125 0.125 0.626 In
0.125 0.626 0.125 In
0.626 0.125 0.125 In
0.500 0.500 0.500 Sb
0.750 0.750 0.750 P
```